Entry 1:
Theoretical powder diffractogram of CaSiH2O4 for Cu Kα (λ = 1.5418 Å), from the GGA-PBE geometry in the Materials Project.
No peak broadening, texture or thermal motion is included.

abc: 11.277 19.934 6.054
angles: 90.00 90.00 90.00
Space group Fdd2 (No. 43)
Symmetry-distinct sites (fractional):
1 Ca 0.088 0.327 0.000 (multiplicity 16)
2 Si 0.090 0.434 0.501 (multiplicity 16)
3 H 0.004 0.183 0.013 (multiplicity 16)
4 H 0.047 0.471 0.921 (multiplicity 16)
5 O 0.000 0.000 0.006 (multiplicity 8)
6 O 0.000 0.000 0.524 (multiplicity 8)
7 O 0.032 0.376 0.347 (multiplicity 16)
8 O 0.036 0.214 0.133 (multiplicity 16)
9 O 0.122 0.412 0.750 (multiplicity 16)

Principal peaks in the range 2θ = 15–90°, sorted by position:
Position (°2θ), I (rel.), h k l
17.21, 26, 1 1 1
21.36, 100, 1 3 1
27.94, 69, 1 5 1
31.07, 54, 3 3 1
33.02, 44, 4 2 0
33.60, 28, 2 0 2
34.82, 33, 2 2 2
45.01, 29, 5 3 1
47.78, 28, 1 3 3
48.77, 32, 4 8 0

Entry 2:
Theoretical powder diffractogram of Cr8CoCu3Se16 for Cu Kα (λ = 1.5418 Å), from the GGA-PBE geometry in the Materials Project.
No peak broadening, texture or thermal motion is included.

abc: 7.373 7.373 10.422
angles: 90.00 90.00 90.00
Space group P-4m2 (No. 115)
Symmetry-distinct sites (fractional):
1 Cr 0.000 0.247 0.375 (multiplicity 4)
2 Cr 0.250 0.500 0.124 (multiplicity 4)
3 Co 0.500 0.500 0.500 (multiplicity 1)
4 Cu 0.000 0.000 0.000 (multiplicity 1)
5 Cu 0.000 0.500 0.750 (multiplicity 2)
6 Se 0.000 0.235 0.617 (multiplicity 4)
7 Se 0.000 0.266 0.133 (multiplicity 4)
8 Se 0.238 0.500 0.369 (multiplicity 4)
9 Se 0.265 0.500 0.883 (multiplicity 4)

Principal peaks in the range 2θ = 15–90°, sorted by position:
Position (°2θ), I (rel.), h k l
24.15, 16, 2 0 0
28.39, 38, 2 1 1
29.69, 52, 2 0 2
34.41, 78, 2 2 0
45.19, 27, 1 0 5
49.46, 100, 4 0 0
58.75, 21, 4 2 2
61.64, 17, 4 0 4
72.54, 14, 4 4 0
82.81, 21, 6 2 0

Entry 3:
Theoretical powder diffractogram of CaHoCd2 for Cu Kα (λ = 1.5418 Å), from the GGA-PBE geometry in the Materials Project.
No peak broadening, texture or thermal motion is included.

abc: 7.548 7.548 7.548
angles: 90.00 90.00 90.00
Space group Fm-3m (No. 225)
Symmetry-distinct sites (fractional):
1 Ca 0.000 0.000 0.000 (multiplicity 4)
2 Ho 0.000 0.000 0.500 (multiplicity 4)
3 Cd 0.250 0.250 0.250 (multiplicity 8)

Principal peaks in the range 2θ = 15–90°, sorted by position:
Position (°2θ), I (rel.), h k l
20.38, 17, 1 1 1
33.58, 100, 2 2 0
39.60, 10, 3 1 1
48.23, 18, 4 0 0
52.87, 4, 3 3 1
60.05, 36, 4 2 2
64.11, 3, 5 1 1
70.59, 11, 4 4 0
74.35, 3, 5 3 1
80.48, 15, 6 2 0